The following is a theoretical powder X-ray diffraction pattern of Sr2SmCu3Pb2O8. It was derived from DFT lattice parameters and positions (PBE), using a wavelength of 1.5418 Å.

Structure:
a = 3.8539 Å, b = 3.8539 Å, c = 16.0842 Å
α = 90.00°, β = 90.00°, γ = 90.00°
Space group P4/mmm (No. 123)
Symmetry-distinct sites (fractional):
Sr: 0.0000 0.0000 0.2226 [2 per cell]
Sm: 0.0000 0.0000 0.0000 [1 per cell]
Cu: 0.0000 0.0000 0.5000 [1 per cell]
Cu: 0.5000 0.5000 0.1071 [2 per cell]
Pb: 0.5000 0.5000 0.3881 [2 per cell]
O: 0.0000 0.0000 0.3843 [2 per cell]
O: 0.0000 0.5000 0.0946 [4 per cell]
O: 0.5000 0.5000 0.2523 [2 per cell]

The 6 most intense peaks (2θ = 15–90°), most intense first:
(1 0 4), 32.17 deg, 2.782 Å, I = 100.0
(1 1 0), 32.87 deg, 2.725 Å, I = 65.8
(2 1 4), 58.24 deg, 1.584 Å, I = 37.8
(2 0 0), 47.17 deg, 1.927 Å, I = 30.4
(1 0 1), 23.74 deg, 3.748 Å, I = 26.9
(1 1 5), 43.52 deg, 2.079 Å, I = 20.6

***

The following is a theoretical powder X-ray diffraction pattern of Cu3Sn4PbO12. It was derived from DFT lattice parameters and positions (PBE), using a wavelength of 1.5418 Å.

Structure:
a = 7.8105 Å, b = 7.8105 Å, c = 7.8105 Å
α = 90.00°, β = 90.00°, γ = 90.00°
Space group Im-3 (No. 204)
Symmetry-distinct sites (fractional):
Cu: 0.0000 0.0000 0.5000 [6 per cell]
Sn: 0.2500 0.2500 0.2500 [8 per cell]
Pb: 0.0000 0.0000 0.0000 [2 per cell]
O: 0.0000 0.1734 0.3135 [24 per cell]

The 6 most intense peaks (2θ = 15–90°), most intense first:
(2 2 0), 32.42 deg, 2.761 Å, I = 100.0
(4 2 2), 57.83 deg, 1.594 Å, I = 47.9
(4 0 0), 46.51 deg, 1.953 Å, I = 23.0
(6 0 2), 77.25 deg, 1.235 Å, I = 18.8
(4 4 0), 67.88 deg, 1.381 Å, I = 13.3
(1 1 0), 16.05 deg, 5.523 Å, I = 11.7

***

The following is a theoretical powder X-ray diffraction pattern of Sr2YCu3Pb2O8. It was derived from DFT lattice parameters and positions (PBE), using a wavelength of 1.5418 Å.

Structure:
a = 5.4373 Å, b = 15.9644 Å, c = 5.4829 Å
α = 90.00°, β = 90.00°, γ = 90.00°
Space group P222_1 (No. 17)
Symmetry-distinct sites (fractional):
Sr: 0.2497 0.2211 0.0011 [4 per cell]
Y: 0.2501 0.0000 0.0000 [2 per cell]
Cu: 0.2350 0.5000 0.0000 [2 per cell]
Cu: 0.2501 0.1050 0.5004 [4 per cell]
Pb: 0.2429 0.3885 0.4911 [4 per cell]
O: 0.0000 0.0918 0.7500 [2 per cell]
O: 0.0000 0.0926 0.2500 [2 per cell]
O: 0.2235 0.3845 0.0564 [4 per cell]
O: 0.2533 0.2515 0.5078 [4 per cell]
O: 0.5000 0.0913 0.7500 [2 per cell]
O: 0.5000 0.0924 0.2500 [2 per cell]

The 6 most intense peaks (2θ = 15–90°), most intense first:
(1 4 1), 32.26 deg, 2.775 Å, I = 100.0
(0 0 2), 32.66 deg, 2.741 Å, I = 34.3
(2 0 0), 32.95 deg, 2.719 Å, I = 34.0
(2 0 2), 47.08 deg, 1.930 Å, I = 31.6
(1 1 1), 23.71 deg, 3.753 Å, I = 20.9
(1 4 3), 58.04 deg, 1.589 Å, I = 19.5

***

The following is a theoretical powder X-ray diffraction pattern of Sr2YCu3Pb2O8. It was derived from DFT lattice parameters and positions (PBE), using a wavelength of 1.5418 Å.

Structure:
a = 15.4854 Å, b = 5.3602 Å, c = 5.3363 Å
α = 90.00°, β = 90.00°, γ = 90.00°
Space group Pmc2_1 (No. 26)
Symmetry-distinct sites (fractional):
Sr: 0.2212 0.2492 0.0000 [4 per cell]
Y: 0.0000 0.2500 0.0041 [2 per cell]
Cu: 0.1041 0.2500 0.5035 [4 per cell]
Cu: 0.5000 0.2261 0.9790 [2 per cell]
Pb: 0.3893 0.2489 0.5004 [4 per cell]
O: 0.0932 0.9996 0.2538 [4 per cell]
O: 0.0925 0.5000 0.2539 [4 per cell]
O: 0.2496 0.2570 0.4979 [4 per cell]
O: 0.3812 0.2045 0.9649 [4 per cell]

The 6 most intense peaks (2θ = 15–90°), most intense first:
(4 1 1), 33.11 deg, 2.705 Å, I = 100.0
(0 2 0), 33.43 deg, 2.680 Å, I = 35.2
(0 0 2), 33.59 deg, 2.668 Å, I = 35.0
(0 2 2), 48.12 deg, 1.891 Å, I = 32.2
(4 1 3), 59.75 deg, 1.548 Å, I = 22.8
(1 1 1), 24.23 deg, 3.674 Å, I = 22.1